Entry 1:
For Rb4GeO4, DFT lattice parameters and positions (GGA-PBE) gives the computed XRD peak list in this record (copper Kα).
Neutral-atom scattering factors, no anomalous dispersion.

Unit cell a=11.121 b=6.928 c=11.088 alpha=90.00 beta=111.76 gamma=90.00
Space group P2_1/c (No. 14)
Symmetry-distinct sites (fractional):
Rb  0.060  0.092  0.196 (multiplicity 4)
Rb  0.157  0.611  0.086 (multiplicity 4)
Rb  0.367  0.664  0.891 (multiplicity 4)
Rb  0.424  0.184  0.795 (multiplicity 4)
Ge  0.242  0.131  0.991 (multiplicity 4)
O  0.088  0.240  0.969 (multiplicity 4)
O  0.221  0.504  0.346 (multiplicity 4)
O  0.299  0.523  0.633 (multiplicity 4)
O  0.360  0.179  0.515 (multiplicity 4)

Largest 10 diffraction maxima, sorted by position, 15° ≤ 2θ ≤ 90°:
(hkl)	d [Å]	I (rel.)
3 1 -2	3.143	100.0
2 0 2	3.115	53.5
1 2 1	3.027	94.2
4 1 -1	2.562	36.9
1 1 -4	2.555	54.9
5 1 0	1.980	14.0
2 3 -3	1.932	21.8
3 2 3	1.781	20.3
4 3 -1	1.770	14.2
4 0 4	1.558	14.1

=====

Entry 2:
For Rb2GeS6O21, DFT lattice parameters and positions (GGA-PBE) gives the computed XRD peak list in this record (copper Kα).
Neutral-atom scattering factors, no anomalous dispersion.

Unit cell a=9.9273 b=9.9273 c=11.5257 alpha=90.00 beta=90.00 gamma=120.00
Space group P-3 (No. 147)
Symmetry-distinct sites (fractional):
Rb  0.3333  0.6667  0.3812 (multiplicity 2)
Rb  0.3333  0.6667  0.9429 (multiplicity 2)
Ge  0.0000  0.0000  0.2553 (multiplicity 2)
S  0.0765  0.7437  0.1630 (multiplicity 6)
S  0.1571  0.3428  0.6580 (multiplicity 6)
O  0.0110  0.6777  0.2958 (multiplicity 6)
O  0.0177  0.3729  0.9204 (multiplicity 6)
O  0.0527  0.8830  0.1511 (multiplicity 6)
O  0.0553  0.8821  0.6449 (multiplicity 6)
O  0.1521  0.7279  0.7455 (multiplicity 6)
O  0.1731  0.4094  0.5452 (multiplicity 6)
O  0.2121  0.4497  0.1732 (multiplicity 6)

Largest 10 diffraction maxima, sorted by position, 15° ≤ 2θ ≤ 90°:
(hkl)	d [Å]	I (rel.)
0 0 2	5.763	19.6
1 1 0	4.964	18.8
0 1 2	4.787	44.9
1 1 1	4.559	26.9
2 0 2	3.446	100.0
3 0 0	2.866	21.2
3 -2 2	2.830	31.8
2 2 0	2.482	20.1
3 1 2	2.203	19.5
3 -1 4	2.156	17.6